1.
For BaSc4Te6, a cell relaxed with GGA-PBE gives the computed powder XRD pattern in this record (Cu Kα X-rays).

Cell and atoms:
a = 7.2569 Å, b = 7.2569 Å, c = 22.0303 Å
α = 90.00°, β = 90.00°, γ = 145.63°
Fractional positions:
Ba (0.1583, 0.8417, 0.7500)
Ba (0.8417, 0.1583, 0.2500)
Sc (0.0938, 0.9062, 0.1239)
Sc (0.0938, 0.9062, 0.3761)
Sc (0.3584, 0.6416, 0.0357)
Sc (0.3584, 0.6416, 0.4643)
Sc (0.6416, 0.3584, 0.5357)
Sc (0.6416, 0.3584, 0.9643)
Sc (0.9062, 0.0938, 0.6239)
Sc (0.9062, 0.0938, 0.8761)
Te (0.0000, 0.0000, 0.0000)
Te (0.0000, 0.0000, 0.5000)
Te (0.1493, 0.8507, 0.2500)
Te (0.2676, 0.7324, 0.5862)
Te (0.2676, 0.7324, 0.9138)
Te (0.4582, 0.5418, 0.1516)
Te (0.4582, 0.5418, 0.3484)
Te (0.5418, 0.4582, 0.6516)
Te (0.5418, 0.4582, 0.8484)
Te (0.7324, 0.2676, 0.0862)
Te (0.7324, 0.2676, 0.4138)
Te (0.8507, 0.1493, 0.7500)

Largest 10 diffraction maxima, by angle, 2θ = 15–90°:
d/Å  I (rel.)
3.307  19.8
3.287  55.8
3.245  82.4
3.112  46.9
3.023  100.0
2.890  38.2
2.144  54.5
2.131  20.8
1.804  22.9
1.789  29.4

---

2.
For Tb2Re3Si5, a cell relaxed with GGA-PBE gives the computed powder XRD pattern in this record (Cu Kα X-rays).

Cell and atoms:
a = 11.0002 Å, b = 11.0002 Å, c = 5.5412 Å
α = 90.00°, β = 90.00°, γ = 90.00°
Fractional positions:
Tb (0.0774, 0.2372, 0.0000)
Tb (0.2372, 0.9226, 0.0000)
Tb (0.2628, 0.4226, 0.5000)
Tb (0.4226, 0.7372, 0.5000)
Tb (0.5774, 0.2628, 0.5000)
Tb (0.7372, 0.5774, 0.5000)
Tb (0.7628, 0.0774, 0.0000)
Tb (0.9226, 0.7628, 0.0000)
Re (0.0000, 0.5000, 0.2500)
Re (0.0000, 0.5000, 0.7500)
Re (0.1231, 0.8529, 0.5000)
Re (0.1471, 0.1231, 0.5000)
Re (0.3529, 0.6231, 0.0000)
Re (0.3769, 0.3529, 0.0000)
Re (0.5000, 0.0000, 0.2500)
Re (0.5000, 0.0000, 0.7500)
Re (0.6231, 0.6471, 0.0000)
Re (0.6471, 0.3769, 0.0000)
Re (0.8529, 0.8769, 0.5000)
Re (0.8769, 0.1471, 0.5000)
Si (0.0000, 0.0000, 0.2432)
Si (0.0000, 0.0000, 0.7568)
Si (0.0280, 0.3143, 0.5000)
Si (0.1723, 0.6723, 0.2500)
Si (0.1723, 0.6723, 0.7500)
Si (0.1857, 0.4720, 0.0000)
Si (0.3143, 0.9720, 0.5000)
Si (0.3277, 0.1723, 0.2500)
Si (0.3277, 0.1723, 0.7500)
Si (0.4720, 0.8143, 0.0000)
Si (0.5000, 0.5000, 0.2568)
Si (0.5000, 0.5000, 0.7432)
Si (0.5280, 0.1857, 0.0000)
Si (0.6723, 0.8277, 0.2500)
Si (0.6723, 0.8277, 0.7500)
Si (0.6857, 0.0280, 0.5000)
Si (0.8143, 0.5280, 0.0000)
Si (0.8277, 0.3277, 0.2500)
Si (0.8277, 0.3277, 0.7500)
Si (0.9720, 0.6857, 0.5000)

Largest 10 diffraction maxima, by angle, 2θ = 15–90°:
d/Å  I (rel.)
3.479  100.0
3.057  35.4
2.946  85.5
2.610  43.8
2.460  54.7
2.404  85.2
2.257  53.8
2.044  40.5
1.952  31.3
1.893  37.6

---

3.
For SrAc3Rh, a cell relaxed with GGA-PBE gives the computed powder XRD pattern in this record (Cu Kα X-rays).

Cell and atoms:
a = 10.8584 Å, b = 10.8584 Å, c = 7.3629 Å
α = 90.09°, β = 90.09°, γ = 101.22°
Fractional positions:
Sr (0.0578, 0.1867, 0.0876)
Sr (0.1867, 0.0578, 0.5876)
Sr (0.8133, 0.9422, 0.4124)
Sr (0.9422, 0.8133, 0.9124)
Ac (0.0604, 0.6841, 0.4106)
Ac (0.1881, 0.5663, 0.9143)
Ac (0.3152, 0.4451, 0.4178)
Ac (0.3159, 0.9396, 0.0894)
Ac (0.4337, 0.8119, 0.5857)
Ac (0.4451, 0.3152, 0.9178)
Ac (0.5549, 0.6848, 0.0822)
Ac (0.5663, 0.1881, 0.4143)
Ac (0.6841, 0.0604, 0.9106)
Ac (0.6848, 0.5549, 0.5822)
Ac (0.8119, 0.4337, 0.0857)
Ac (0.9396, 0.3159, 0.5894)
Rh (0.3022, 0.6978, 0.2500)
Rh (0.4344, 0.5656, 0.7500)
Rh (0.5656, 0.4344, 0.2500)
Rh (0.6978, 0.3022, 0.7500)

Largest 10 diffraction maxima, by angle, 2θ = 15–90°:
d/Å  I (rel.)
3.445  28.7
3.250  19.1
3.244  34.8
3.223  100.0
2.515  12.9
2.504  29.0
2.119  28.1
2.098  13.1
1.942  17.2
1.762  19.1